ZrFe2BiO6: theoretical powder diffractogram (copper Kα), based on a cell relaxed with GGA+U.
No peak broadening, texture or thermal motion is included.

Structure:
Cell: 5.541 5.558 5.731 Å, 118.35 90.41 119.85°
Space group P1 (No. 1)
Inequivalent atoms, fractional coordinates:
Zr (0.000, 0.000, 0.000)
Fe (0.212, 0.425, 0.634)
Fe (0.716, 0.435, 0.146)
Bi (0.495, 0.991, 0.483)
O (0.068, 0.475, 0.322)
O (0.301, 0.245, 0.836)
O (0.404, 0.263, 0.328)
O (0.592, 0.884, 0.830)
O (0.859, 0.933, 0.330)
O (0.948, 0.543, 0.831)

Top 10 peaks for 10° ≤ 2θ ≤ 90°, by angle:
two_theta	intensity	index
19.47	35	0 1 -1
22.11	33	0 1 0
22.25	34	1 0 -1
22.41	33	1 -1 1
30.94	57	-1 1 1
31.15	56	1 0 1
31.26	55	0 1 -2
32.20	100	1 -2 1
32.32	49	2 -1 0
57.56	31	3 -3 1